For Ag3TeS2, a cell relaxed with GGA-PBE gives the computed powder diffractogram in this record (Cu Kα, 1.54184 Å).
No peak broadening, texture or thermal motion is included.

Peak list (12 most intense, 2θ from 10° to 80°, low angle first)
d_spacing  2theta  intensity  index
3.751  23.72  1000  2 0 0
2.954  30.26  445  1 1 2
2.852  31.36  277  0 2 2
2.680  33.43  317  0 4 0
2.506  35.83  274  2 0 2
2.330  38.64  799  1 3 2
2.270  39.70  326  2 2 2
2.181  41.41  588  2 4 0
1.973  45.99  231  3 1 2
1.750  52.26  211  3 3 2
1.536  60.23  297  4 4 0
1.333  70.67  226  2 4 4

Crystal structure
Unit cell a=7.501 b=10.721 c=6.737 alpha=90.00 beta=90.00 gamma=90.00
Space group Ibam (No. 72)
Unique sites:
Ag 0.000 0.000 0.250 x4
Ag 0.000 0.273 0.250 x8
Te 0.000 0.500 0.000 x4
S 0.188 0.135 0.000 x8

For Tl4AgTe3S8, a cell relaxed with GGA-PBE gives the computed powder diffractogram in this record (Cu Kα, 1.54184 Å).
No peak broadening, texture or thermal motion is included.

Peak list (12 most intense, 2θ from 10° to 80°, low angle first)
d_spacing  2theta  intensity  index
3.528  25.24  399  0 0 2
3.493  25.50  361  4 0 -2
3.323  26.83  627  2 2 0
3.074  29.05  589  4 0 0
2.901  30.82  1000  2 2 -2
2.138  42.27  188  4 0 -4
2.117  42.70  377  2 2 2
2.102  43.03  403  6 2 -2
1.975  45.96  169  0 4 0
1.803  50.64  148  2 2 -4
1.793  50.92  132  6 2 -4
1.661  55.29  189  4 4 0

Crystal structure
Unit cell a=14.902 b=7.899 c=8.552 alpha=90.00 beta=124.41 gamma=90.00
Space group C2/m (No. 12)
Unique sites:
Tl 0.000 0.000 0.000 x2
Tl 0.000 0.500 0.000 x2
Tl 0.250 0.250 0.000 x4
Ag 0.000 0.000 0.500 x2
Te 0.000 0.500 0.500 x2
Te 0.250 0.250 0.500 x4
S 0.023 0.253 0.312 x8
S 0.244 0.000 0.712 x4
S 0.245 0.000 0.284 x4

For Tm2AgTeS3, a cell relaxed with GGA-PBE gives the computed powder diffractogram in this record (Cu Kα, 1.54184 Å).
No peak broadening, texture or thermal motion is included.

Peak list (12 most intense, 2θ from 10° to 80°, low angle first)
d_spacing  2theta  intensity  index
6.552  13.52  285  0 0 3
4.030  22.06  365  1 1 0
3.432  25.96  1000  0 2 1
3.416  26.09  230  0 1 5
2.842  31.48  778  0 2 4
2.597  34.54  262  1 0 7
2.536  35.39  172  1 1 6
2.190  41.23  369  0 3 3
2.015  44.99  563  2 2 0
2.004  45.25  329  2 0 8
1.919  47.36  267  2 1 7
1.268  74.87  175  2 2 12

Crystal structure
Unit cell a=8.0592 b=8.0592 c=19.5845 alpha=90.00 beta=90.00 gamma=120.00
Space group R-3m (No. 166, hexagonal axes)
Unique sites:
Tm 0.0000 0.0000 0.0000 x3
Tm 0.0000 0.5000 0.5000 x9
Ag 0.0000 0.0000 0.4079 x6
Te 0.0000 0.0000 0.2649 x6
S 0.0324 0.5162 0.7562 x18

Question: What is the formula in the third record?
Answer: Tm2AgTeS3